Diffraction record for Mg16Al12Cu. The PXRD pattern is calculated, not measured: it uses a structure optimized by DFT (GGA-PBE) and Cu Kα (λ = 1.5418 Å).
No peak broadening, texture or thermal motion is included.

Crystal structure
```
data_Mg16Al12Cu
_symmetry_space_group_name_H-M 'R 3 m'
_symmetry_Int_Tables_number 160
_symmetry_space_group_name_Hall 'R 3 -2"'
_cell_length_a 14.7162
_cell_length_b 14.7162
_cell_length_c 9.2704
_cell_angle_alpha 90.00
_cell_angle_beta 90.00
_cell_angle_gamma 120.00
loop_
_atom_site_label
_atom_site_fract_x
_atom_site_fract_y
_atom_site_fract_z
Mg1 0.0000 0.0000 0.0000
Mg2 0.0141 0.3072 0.2986
Mg3 0.0651 0.5325 0.2110
Mg4 0.1885 0.0943 0.5080
Mg5 0.2172 0.4344 0.7763
Al1 0.0002 0.1817 0.8108
Al2 0.0629 0.1258 0.2880
Al3 0.0806 0.5403 0.7213
Cu1 0.0000 0.0000 0.7151
```

Largest 8 diffraction maxima, by intensity, 2θ from 5° to 70°:
| Position (°2θ) | d (Å) | I/Imax |
| --- | --- | --- |
| 36.59 | 2.456 | 100 |
| 35.94 | 2.499 | 73 |
| 36.33 | 2.473 | 67 |
| 40.60 | 2.222 | 39 |
| 34.15 | 2.626 | 32 |
| 40.38 | 2.233 | 28 |
| 65.16 | 1.432 | 24 |
| 43.79 | 2.067 | 23 |

***

Diffraction record for MgAl2Cu. The PXRD pattern is calculated, not measured: it uses a structure optimized by DFT (GGA-PBE) and Cu Kα (λ = 1.5418 Å).
No peak broadening, texture or thermal motion is included.

Crystal structure
```
data_MgAl2Cu
_symmetry_space_group_name_H-M 'C m c m'
_symmetry_Int_Tables_number 63
_symmetry_space_group_name_Hall '-C 2c 2'
_cell_length_a 4.000
_cell_length_b 9.294
_cell_length_c 7.131
_cell_angle_alpha 90.00
_cell_angle_beta 90.00
_cell_angle_gamma 90.00
loop_
_atom_site_label
_atom_site_fract_x
_atom_site_fract_y
_atom_site_fract_z
Mg1 0.000 0.065 0.250
Al1 0.000 0.356 0.055
Cu1 0.000 0.220 0.750
```

Largest 8 diffraction maxima, by intensity, 2θ from 5° to 70°:
| Position (°2θ) | d (Å) | I/Imax |
| --- | --- | --- |
| 45.41 | 1.997 | 100 |
| 38.88 | 2.316 | 90 |
| 19.10 | 4.647 | 61 |
| 35.07 | 2.559 | 57 |
| 27.31 | 3.266 | 54 |
| 40.85 | 2.209 | 31 |
| 44.90 | 2.019 | 31 |
| 24.97 | 3.566 | 25 |

***

Diffraction record for Mg2Al5Cu6. The PXRD pattern is calculated, not measured: it uses a structure optimized by DFT (GGA-PBE) and Cu Kα (λ = 1.5418 Å).
No peak broadening, texture or thermal motion is included.

Crystal structure
```
data_Mg2Al5Cu6
_symmetry_space_group_name_H-M 'P m -3'
_symmetry_Int_Tables_number 200
_symmetry_space_group_name_Hall '-P 2 2 3'
_cell_length_a 8.264
_cell_length_b 8.264
_cell_length_c 8.264
_cell_angle_alpha 90.00
_cell_angle_beta 90.00
_cell_angle_gamma 90.00
loop_
_atom_site_label
_atom_site_fract_x
_atom_site_fract_y
_atom_site_fract_z
Mg1 0.000 0.179 0.500
Al1 0.000 0.000 0.000
Al2 0.000 0.500 0.334
Al3 0.282 0.282 0.282
Cu1 0.000 0.256 0.165
Cu2 0.272 0.500 0.500
```

Largest 8 diffraction maxima, by intensity, 2θ from 5° to 70°:
| Position (°2θ) | d (Å) | I/Imax |
| --- | --- | --- |
| 45.24 | 2.004 | 100 |
| 15.16 | 5.843 | 54 |
| 40.86 | 2.209 | 48 |
| 43.82 | 2.066 | 46 |
| 39.31 | 2.292 | 37 |
| 24.08 | 3.696 | 24 |
| 46.63 | 1.948 | 19 |
| 49.32 | 1.848 | 18 |